The following is a theoretical X-ray diffraction stick pattern of Co2OF3. It was derived from DFT lattice parameters and positions (PBE+U), using copper Kα.

```
Co2OF3
1.0
12.2367 0.0000 0.0000
0.0000 3.4323 3.2624
0.0000 -3.4323 3.2624
Co O F
8 4 12
direct
0.0000 0.0000 0.0000
0.1249 0.5325 0.5325
0.2495 0.0628 0.0628
0.3744 0.5290 0.5290
0.5000 0.0644 0.0644
0.6256 0.5290 0.5290
0.7505 0.0628 0.0628
0.8751 0.5325 0.5325
0.0000 0.7036 0.7036
0.2485 0.3588 0.3588
0.5000 0.3568 0.3568
0.7515 0.3588 0.3588
0.0000 0.3179 0.3179
0.1253 0.2339 0.8300
0.1253 0.8300 0.2339
0.2515 0.7464 0.7464
0.3782 0.2447 0.8532
0.3782 0.8532 0.2447
0.5000 0.7404 0.7404
0.6218 0.2447 0.8532
0.6218 0.8532 0.2447
0.7485 0.7464 0.7464
0.8747 0.2339 0.8300
0.8747 0.8300 0.2339
```

Largest 10 diffraction maxima, by angle, 2θ = 15–90°:
2θ = 26.0°, rel. 96.3
2θ = 27.3°, rel. 87.7
2θ = 34.9°, rel. 100.0
2θ = 38.1°, rel. 15.6
2θ = 39.5°, rel. 16.1
2θ = 40.4°, rel. 16.4
2θ = 51.8°, rel. 62.7
2θ = 53.4°, rel. 67.7
2θ = 60.5°, rel. 16.8
2θ = 66.8°, rel. 37.4